[1]
Diffraction record for Tb2Dy2Mg15. The PXRD pattern is simulated, not measured: it uses the PBE geometry in Alexandria and CuKα.

Structure:
abc: 10.4705 10.4705 15.2671
angles: 90.00 90.00 120.00
Space group R-3m (No. 166, hexagonal axes)
One atom of each set of equivalent atoms:
Tb (0.0000, 0.0000, 0.1710)
Dy (0.0000, 0.0000, 0.4004)
Mg (0.0000, 0.2997, 0.5000)
Mg (0.0000, 0.5000, 0.0000)
Mg (0.0097, 0.5048, 0.6473)

Main lines, by angle (5 to 70 degrees two-theta):
16.94 deg, I 100.0
25.32 deg, I 19.9
29.55 deg, I 55.2
30.62 deg, I 23.2
30.90 deg, I 22.6
34.26 deg, I 49.8
34.51 deg, I 27.9
35.20 deg, I 25.8
35.44 deg, I 28.8
39.53 deg, I 25.1

***

[2]
Diffraction record for Tb5Dy12Mg2. The PXRD pattern is simulated, not measured: it uses the PBE geometry in Alexandria and CuKα.

Structure:
abc: 15.576 9.157 8.353
angles: 90.00 91.32 90.00
Space group C2/m (No. 12)
One atom of each set of equivalent atoms:
Tb (0.000, 0.000, 0.000)
Tb (0.203, 0.500, 0.516)
Tb (0.233, 0.000, 0.075)
Dy (0.057, 0.500, 0.834)
Dy (0.082, 0.000, 0.384)
Dy (0.126, 0.307, 0.172)
Dy (0.149, 0.183, 0.741)
Mg (0.000, 0.331, 0.500)

Main lines, by angle (5 to 70 degrees two-theta):
28.94 deg, I 34.6
30.13 deg, I 34.8
31.00 deg, I 40.5
31.75 deg, I 100.0
31.97 deg, I 65.3
32.19 deg, I 24.7
34.01 deg, I 51.3
35.91 deg, I 27.0
56.60 deg, I 23.2
60.73 deg, I 25.5

***

[3]
Diffraction record for Tb12Dy2Mg. The PXRD pattern is simulated, not measured: it uses the PBE geometry in Alexandria and CuKα.

Structure:
abc: 7.023 11.334 24.192
angles: 90.00 97.72 90.00
Space group C2/m (No. 12)
One atom of each set of equivalent atoms:
Tb (0.065, 0.226, 0.434)
Tb (0.098, 0.239, 0.943)
Tb (0.124, 0.500, 0.608)
Tb (0.150, 0.000, 0.652)
Tb (0.153, 0.500, 0.079)
Tb (0.171, 0.000, 0.071)
Tb (0.205, 0.259, 0.174)
Tb (0.213, 0.217, 0.305)
Dy (0.021, 0.000, 0.788)
Dy (0.027, 0.500, 0.767)
Mg (0.222, 0.000, 0.517)

Main lines, by angle (5 to 70 degrees two-theta):
29.81 deg, I 29.6
30.50 deg, I 39.9
31.58 deg, I 74.0
31.75 deg, I 32.2
31.91 deg, I 100.0
32.11 deg, I 38.1
33.67 deg, I 16.1
33.83 deg, I 35.2
45.39 deg, I 18.3
56.47 deg, I 22.6